The following is a theoretical powder XRD pattern of Na5B7C3. It was derived from a structure optimized by DFT (PBE), using Cu Ka.
Lines closer than 0.1° are merged.

Most intense lines, 15° ≤ 2θ ≤ 90°, low angle first:
two_theta, Rel. int.
36.1, 18
41.1, 51
42.0, 100
42.3, 38
63.5, 18
77.2, 13
79.3, 17
80.4, 11

Structural model:
Unit cell a=12.894 b=12.894 c=8.539 alpha=90.00 beta=90.00 gamma=167.34
Fractional coordinates of all 30 atoms:
Na  0.000  0.000  0.000
Na  0.000  0.000  0.500
Na  0.200  0.800  0.503
Na  0.200  0.800  0.997
Na  0.400  0.600  0.001
Na  0.400  0.600  0.499
Na  0.600  0.400  0.501
Na  0.600  0.400  0.999
Na  0.800  0.200  0.003
Na  0.800  0.200  0.497
B  0.073  0.927  0.250
B  0.130  0.870  0.750
B  0.261  0.739  0.250
B  0.331  0.669  0.250
B  0.333  0.667  0.750
B  0.464  0.536  0.250
B  0.467  0.533  0.750
B  0.533  0.467  0.250
B  0.536  0.464  0.750
B  0.667  0.333  0.250
B  0.669  0.331  0.750
B  0.739  0.261  0.750
B  0.870  0.130  0.250
B  0.927  0.073  0.750
C  0.067  0.933  0.750
C  0.136  0.864  0.250
C  0.269  0.731  0.750
C  0.731  0.269  0.250
C  0.864  0.136  0.750
C  0.933  0.067  0.250